1.
Computed X-ray diffraction stick pattern of Al3Co20B6 for Cu Kα, 1.54184 Å, from the PBE geometry in OQMD.
Kinematic intensities with the Lorentz-polarization factor, no thermal factor.

Structure:
a b c (Å): 10.4530 10.4530 10.4530
angles (deg): 90.00 90.00 90.00
Space group Fm-3m (No. 225)
Asymmetric unit:
1 Al 0.0000 0.0000 0.0000 (multiplicity 4)
2 Al 0.2500 0.2500 0.2500 (multiplicity 8)
3 Co 0.0000 0.1702 0.1702 (multiplicity 48)
4 Co 0.1175 0.1175 0.3825 (multiplicity 32)
5 B 0.0000 0.0000 0.2766 (multiplicity 24)

Peak list (6 most intense, 15 to 90 degrees two-theta, low angle first)
d [Å]	I (rel.)	h k l
2.337	20	4 2 0
2.134	16	4 2 2
2.012	100	3 3 3
1.767	36	5 3 1
1.742	16	6 0 0
1.232	18	6 6 0

---

2.
Computed X-ray diffraction stick pattern of Al2Co21B6 for Cu Kα, 1.54184 Å, from the PBE geometry in OQMD.
Kinematic intensities with the Lorentz-polarization factor, no thermal factor.

Structure:
a b c (Å): 10.4485 10.4485 10.4485
angles (deg): 90.00 90.00 90.00
Space group Fm-3m (No. 225)
Asymmetric unit:
1 Al 0.2500 0.2500 0.2500 (multiplicity 8)
2 Co 0.0000 0.0000 0.0000 (multiplicity 4)
3 Co 0.0000 0.1687 0.1687 (multiplicity 48)
4 Co 0.1177 0.1177 0.3823 (multiplicity 32)
5 B 0.0000 0.0000 0.2770 (multiplicity 24)

Peak list (6 most intense, 15 to 90 degrees two-theta, low angle first)
d [Å]	I (rel.)	h k l
2.133	19	4 2 2
2.011	100	3 3 3
1.847	15	4 4 0
1.766	26	5 3 1
1.741	18	6 0 0
1.231	17	6 6 0

---

3.
Computed X-ray diffraction stick pattern of ErAlB4 for Cu Kα, 1.54184 Å, from the PBE geometry in OQMD.
Kinematic intensities with the Lorentz-polarization factor, no thermal factor.

Structure:
a b c (Å): 3.1108 3.1108 7.1090
angles (deg): 90.00 90.00 120.00
Space group P6/mmm (No. 191)
Asymmetric unit:
1 Er 0.0000 0.0000 0.0000 (multiplicity 1)
2 Al 0.0000 0.0000 0.5000 (multiplicity 1)
3 B 0.3333 0.6667 0.2768 (multiplicity 4)

Peak list (6 most intense, 15 to 90 degrees two-theta, low angle first)
d [Å]	I (rel.)	h k l
3.554	38	0 0 2
2.694	69	1 0 0
2.519	74	1 0 1
2.147	100	1 0 2
1.779	33	0 0 4
1.484	24	1 0 4

---

4.
Computed X-ray diffraction stick pattern of AlFe2B for Cu Kα, 1.54184 Å, from the PBE geometry in OQMD.
Kinematic intensities with the Lorentz-polarization factor, no thermal factor.

Structure:
a b c (Å): 5.3856 5.3856 5.3856
angles (deg): 90.00 90.00 90.00
Space group Pm-3m (No. 221)
Asymmetric unit:
1 Al 0.0000 0.0000 0.0000 (multiplicity 1)
2 Al 0.0000 0.0000 0.5000 (multiplicity 3)
3 Fe 0.2729 0.2729 0.2729 (multiplicity 8)
4 B 0.0000 0.5000 0.5000 (multiplicity 3)
5 B 0.5000 0.5000 0.5000 (multiplicity 1)

Peak list (6 most intense, 15 to 90 degrees two-theta, low angle first)
d [Å]	I (rel.)	h k l
2.693	44	2 0 0
2.409	14	2 1 0
1.904	100	2 2 0
1.346	13	4 0 0
1.306	8	3 2 2
1.099	23	4 2 2

---

5.
Computed X-ray diffraction stick pattern of SmAl2FeBOs for Cu Kα, 1.54184 Å, from the PBE geometry in OQMD.
Kinematic intensities with the Lorentz-polarization factor, no thermal factor.

Structure:
a b c (Å): 4.1043 4.1276 5.5467
angles (deg): 90.00 90.00 90.00
Space group Pmmm (No. 47)
Asymmetric unit:
1 Sm 0.0000 0.0000 0.0000 (multiplicity 1)
2 Al 0.5000 0.5000 0.2395 (multiplicity 2)
3 Fe 0.5000 0.0000 0.5000 (multiplicity 1)
4 B 0.0000 0.0000 0.5000 (multiplicity 1)
5 Os 0.0000 0.5000 0.5000 (multiplicity 1)

Peak list (6 most intense, 15 to 90 degrees two-theta, low angle first)
d [Å]	I (rel.)	h k l
4.104	28	1 0 0
3.311	44	0 1 1
2.773	24	0 0 2
2.577	100	1 1 1
2.298	29	1 0 2
1.561	20	1 1 3

---

6.
Computed X-ray diffraction stick pattern of NdAlGaBOs2 for Cu Kα, 1.54184 Å, from the PBE geometry in OQMD.
Kinematic intensities with the Lorentz-polarization factor, no thermal factor.

Structure:
a b c (Å): 4.2232 4.2232 5.5572
angles (deg): 90.00 90.00 90.00
Space group P4mm (No. 99)
Asymmetric unit:
1 Nd 0.0000 0.0000 0.0000 (multiplicity 1)
2 Al 0.5000 0.5000 0.7620 (multiplicity 1)
3 Ga 0.5000 0.5000 0.2251 (multiplicity 1)
4 B 0.0000 0.0000 0.4978 (multiplicity 1)
5 Os 0.0000 0.5000 0.5030 (multiplicity 2)

Peak list (6 most intense, 15 to 90 degrees two-theta, low angle first)
d [Å]	I (rel.)	h k l
5.557	29	0 0 1
2.779	19	0 0 2
2.630	100	1 1 1
2.112	38	2 0 0
1.681	18	2 0 2
1.299	23	3 1 1